Record 1
Theoretical powder XRD pattern
Compound: LiCoNi4
Radiation: Cu Kα, 1.54184 Å
Structure: a structure optimized by DFT (GGA-PBE)

Peak list (12 most intense, 5° ≤ 2θ ≤ 70°, in order of falling intensity)
- 2θ = 45.57°, rel. 100.0
- 2θ = 44.34°, rel. 61.9
- 2θ = 51.08°, rel. 47.8
- 2θ = 51.20°, rel. 47.5
- 2θ = 39.21°, rel. 46.0
- 2θ = 26.06°, rel. 36.0
- 2θ = 22.19°, rel. 28.4
- 2θ = 43.12°, rel. 23.6
- 2θ = 43.26°, rel. 23.4
- 2θ = 55.15°, rel. 17.2
- 2θ = 28.95°, rel. 13.7
- 2θ = 60.54°, rel. 11.7

Structural model:
abc: 7.2596 7.2596 4.7519
angles: 99.88 99.88 140.73
Fractional coordinates of all 12 atoms:
Li 0.1250 0.8750 0.7500
Li 0.8750 0.1250 0.2500
Co 0.3750 0.6250 0.2500
Co 0.6250 0.3750 0.7500
Ni 0.0376 0.4760 0.7590
Ni 0.2214 0.2830 0.7593
Ni 0.2830 0.2214 0.2593
Ni 0.4760 0.0376 0.2590
Ni 0.5240 0.9624 0.7410
Ni 0.7170 0.7786 0.7407
Ni 0.7786 0.7170 0.2407
Ni 0.9624 0.5240 0.2410



Record 2
Theoretical powder XRD pattern
Compound: LiCo2Ni3
Radiation: Cu Kα, 1.54184 Å
Structure: a structure optimized by DFT (GGA-PBE)

Peak list (12 most intense, 5° ≤ 2θ ≤ 70°, in order of falling intensity)
- 2θ = 44.16°, rel. 100.0
- 2θ = 8.09°, rel. 68.5
- 2θ = 52.14°, rel. 30.5
- 2θ = 16.22°, rel. 17.1
- 2θ = 50.07°, rel. 15.6
- 2θ = 49.63°, rel. 7.4
- 2θ = 24.43°, rel. 4.7
- 2θ = 36.21°, rel. 3.8
- 2θ = 37.16°, rel. 3.8
- 2θ = 56.07°, rel. 3.7
- 2θ = 52.85°, rel. 2.6
- 2θ = 54.97°, rel. 2.5

Structural model:
abc: 2.4810 2.4810 10.9315
angles: 90.00 90.00 90.00
Fractional coordinates of all 6 atoms:
Li 0.0000 0.0000 0.0000
Co 0.0000 0.0000 0.3356
Co 0.0000 0.0000 0.6644
Ni 0.5000 0.5000 0.1803
Ni 0.5000 0.5000 0.5000
Ni 0.5000 0.5000 0.8197